Entry 1:
SrMg6: theoretical X-ray powder pattern (Cu Kα X-rays), based on a PBE-relaxed structure.
Intensities are scaled so that the largest is 1000.

Structure:
Lattice parameters (Å, degrees): 9.7419 6.1651 12.5380 90.00 90.00 90.00
Space group Pnma (No. 62)
Inequivalent atoms, fractional coordinates:
Sr1 0.2439 0.2500 0.0630 [4 per cell]
Mg1 0.0615 0.7500 0.0912 [4 per cell]
Mg2 0.0629 0.0092 0.3098 [8 per cell]
Mg3 0.0956 0.2500 0.5187 [4 per cell]
Mg4 0.1423 0.7500 0.8544 [4 per cell]
Mg5 0.1886 0.2500 0.7548 [4 per cell]

Most intense lines, 10° ≤ 2θ ≤ 90°, low angle first:
| d_spacing | I/Imax |
| --- | --- |
| 4.811 | 449 |
| 3.459 | 325 |
| 3.083 | 355 |
| 2.984 | 601 |
| 2.820 | 880 |
| 2.801 | 1000 |
| 2.766 | 285 |
| 2.606 | 401 |
| 2.426 | 341 |
| 2.404 | 234 |
| 2.144 | 233 |
| 1.720 | 239 |

Entry 2:
Nd2Tm6Th3: theoretical X-ray powder pattern (Cu Kα X-rays), based on a PBE-relaxed structure.
Intensities are scaled so that the largest is 1000.

Structure:
Lattice parameters (Å, degrees): 6.1381 10.6321 11.2705 90.00 90.05 90.00
Space group C2/m (No. 12)
Inequivalent atoms, fractional coordinates:
Nd1 0.0000 0.1668 0.0000 [4 per cell]
Tm1 0.1651 0.3346 0.2555 [8 per cell]
Tm2 0.1687 0.0000 0.2554 [4 per cell]
Th1 0.0000 0.1666 0.5000 [4 per cell]
Th2 0.0000 0.5000 0.5000 [2 per cell]

Most intense lines, 10° ≤ 2θ ≤ 90°, low angle first:
| d_spacing | I/Imax |
| --- | --- |
| 3.069 | 82 |
| 2.961 | 536 |
| 2.818 | 336 |
| 2.695 | 1000 |
| 2.377 | 310 |
| 1.817 | 123 |
| 1.772 | 274 |
| 1.602 | 221 |
| 1.500 | 309 |
| 1.481 | 164 |
| 1.136 | 143 |
| 1.103 | 116 |

Entry 3:
Ge2SbPd8: theoretical X-ray powder pattern (Cu Kα X-rays), based on a PBE-relaxed structure.
Intensities are scaled so that the largest is 1000.

Structure:
Lattice parameters (Å, degrees): 4.0095 7.2310 12.2073 90.00 90.00 90.00
Space group Immm (No. 71)
Inequivalent atoms, fractional coordinates:
Ge1 0.0000 0.0000 0.1800 [4 per cell]
Sb1 0.0000 0.0000 0.5000 [2 per cell]
Pd1 0.0000 0.1918 0.0000 [4 per cell]
Pd2 0.0000 0.2802 0.3344 [8 per cell]
Pd3 0.0000 0.5000 0.1459 [4 per cell]

Most intense lines, 10° ≤ 2θ ≤ 90°, low angle first:
| d_spacing | I/Imax |
| --- | --- |
| 3.040 | 88 |
| 2.365 | 137 |
| 2.302 | 163 |
| 2.241 | 1000 |
| 2.035 | 196 |
| 2.005 | 217 |
| 1.808 | 82 |
| 1.529 | 73 |
| 1.428 | 122 |
| 1.243 | 62 |
| 1.211 | 97 |
| 1.198 | 130 |

Entry 4:
Be3Cd: theoretical X-ray powder pattern (Cu Kα X-rays), based on a PBE-relaxed structure.
Intensities are scaled so that the largest is 1000.

Structure:
Lattice parameters (Å, degrees): 4.5418 4.5418 4.5418 90.00 90.00 90.00
Space group Pm-3n (No. 223)
Inequivalent atoms, fractional coordinates:
Be1 0.0000 0.2500 0.5000 [6 per cell]
Cd1 0.0000 0.0000 0.0000 [2 per cell]

Most intense lines, 10° ≤ 2θ ≤ 90°, low angle first:
| d_spacing | I/Imax |
| --- | --- |
| 3.212 | 1000 |
| 2.271 | 237 |
| 2.031 | 6 |
| 1.854 | 498 |
| 1.606 | 125 |
| 1.436 | 169 |
| 1.311 | 32 |
| 1.214 | 237 |
| 1.135 | 30 |

Entry 5:
KCu5Cl12: theoretical X-ray powder pattern (Cu Kα X-rays), based on a PBE-relaxed structure.
Intensities are scaled so that the largest is 1000.

Structure:
Lattice parameters (Å, degrees): 5.6936 7.3892 12.5093 85.62 82.36 79.89
Space group P-1 (No. 2)
Inequivalent atoms, fractional coordinates:
K1 0.0000 0.0000 0.0000 [1 per cell]
Cu1 0.0000 0.0000 0.5000 [1 per cell]
Cu2 0.2874 0.3851 0.9879 [2 per cell]
Cu3 0.3338 0.3329 0.5004 [2 per cell]
Cl1 0.0276 0.5600 0.1101 [2 per cell]
Cl2 0.0386 0.2195 0.6129 [2 per cell]
Cl3 0.2955 0.1128 0.3878 [2 per cell]
Cl4 0.3689 0.5557 0.6113 [2 per cell]
Cl5 0.4589 0.6833 0.8906 [2 per cell]
Cl6 0.4650 0.1694 0.8793 [2 per cell]

Most intense lines, 10° ≤ 2θ ≤ 90°, low angle first:
| d_spacing | I/Imax |
| --- | --- |
| 7.264 | 108 |
| 6.190 | 1000 |
| 6.122 | 93 |
| 4.098 | 252 |
| 3.961 | 188 |
| 3.514 | 366 |
| 3.304 | 84 |
| 3.100 | 88 |
| 2.778 | 234 |
| 2.395 | 115 |
| 2.297 | 138 |
| 1.855 | 113 |

Entry 6:
Ba2CaSm2Ti3Cu2O14: theoretical X-ray powder pattern (Cu Kα X-rays), based on a PBE-relaxed structure.
Intensities are scaled so that the largest is 1000.

Structure:
Lattice parameters (Å, degrees): 3.8863 3.8863 20.7286 90.00 90.00 90.00
Space group P4/mmm (No. 123)
Inequivalent atoms, fractional coordinates:
Ba1 0.0000 0.0000 0.1703 [2 per cell]
Ca1 0.0000 0.0000 0.0000 [1 per cell]
Sm1 0.0000 0.0000 0.3968 [2 per cell]
Ti1 0.5000 0.5000 0.3023 [2 per cell]
Ti2 0.5000 0.5000 0.5000 [1 per cell]
Cu1 0.5000 0.5000 0.0719 [2 per cell]
O1 0.0000 0.5000 0.0765 [4 per cell]
O2 0.0000 0.5000 0.3219 [4 per cell]
O3 0.0000 0.5000 0.5000 [2 per cell]
O4 0.5000 0.5000 0.2163 [2 per cell]
O5 0.5000 0.5000 0.4076 [2 per cell]

Most intense lines, 10° ≤ 2θ ≤ 90°, low angle first:
| d_spacing | I/Imax |
| --- | --- |
| 5.182 | 204 |
| 3.886 | 154 |
| 3.109 | 377 |
| 2.835 | 1000 |
| 2.748 | 639 |
| 2.355 | 134 |
| 2.303 | 122 |
| 2.291 | 258 |
| 1.943 | 446 |
| 1.765 | 209 |
| 1.603 | 356 |
| 1.374 | 130 |